# 1
Theoretical XRD peak list of Zr4ScN5 for Cu Ka, from a GGA-PBE-relaxed structure.
Neutral-atom scattering factors, no anomalous dispersion.

Cell and atoms:
```
Zr4ScN5
1.0
-3.632 3.632 2.300
3.632 -3.632 2.300
3.632 3.632 -2.300
Zr Sc N
4 1 5
Direct
0.102 0.701 0.803 Zr
0.299 0.102 0.400 Zr
0.701 0.898 0.600 Zr
0.898 0.299 0.197 Zr
0.500 0.500 0.000 Sc
0.000 0.000 0.000 N
0.203 0.402 0.605 N
0.402 0.797 0.199 N
0.598 0.203 0.801 N
0.797 0.598 0.395 N
```

Main lines, sorted by position (2θ from 10° to 90°):
2θ (°), Rel. int.
33.78, 100
39.20, 93
56.64, 59
67.60, 41
71.05, 19
84.32, 6


# 2
Theoretical XRD peak list of Na3HO2 for Cu Ka, from a GGA-PBE-relaxed structure.
Neutral-atom scattering factors, no anomalous dispersion.

Cell and atoms:
```
Na3HO2
1.0
-2.771 4.572 3.278
2.771 -4.572 3.278
2.771 4.572 -3.278
Na H O
6 2 4
Direct
0.085 0.750 0.335 Na
0.250 0.250 0.000 Na
0.415 0.750 0.665 Na
0.585 0.250 0.335 Na
0.750 0.750 0.000 Na
0.915 0.250 0.665 Na
0.000 0.500 0.500 H
0.500 0.000 0.500 H
0.061 0.705 0.766 O
0.439 0.205 0.644 O
0.561 0.795 0.356 O
0.939 0.295 0.234 O
```

Main lines, sorted by position (2θ from 10° to 90°):
2θ (°), Rel. int.
19.41, 30
28.74, 29
32.31, 21
33.56, 94
42.72, 86
43.72, 100


# 3
Theoretical XRD peak list of DyHo4Tm2Mg for Cu Ka, from a GGA-PBE-relaxed structure.
Neutral-atom scattering factors, no anomalous dispersion.

Cell and atoms:
```
DyHo4Tm2Mg
1.0
6.016 -1.823 0.000
6.016 1.823 0.000
-3.305 0.000 10.917
Dy Ho Tm Mg
1 4 2 1
Direct
0.000 0.000 0.000 Dy
0.237 0.237 0.867 Ho
0.282 0.282 0.391 Ho
0.718 0.718 0.609 Ho
0.763 0.763 0.133 Ho
0.476 0.476 0.726 Tm
0.524 0.524 0.274 Tm
0.000 0.000 0.500 Mg
```

Main lines, sorted by position (2θ from 10° to 90°):
2θ (°), Rel. int.
31.06, 43
31.70, 100
31.96, 53
34.62, 83
49.52, 28
60.57, 34


# 4
Theoretical XRD peak list of Mg4Ag7Pd for Cu Ka, from a GGA-PBE-relaxed structure.
Neutral-atom scattering factors, no anomalous dispersion.

Cell and atoms:
```
Mg4Ag7Pd
1.0
5.287 -2.537 0.000
5.287 2.537 0.000
-5.025 0.000 8.921
Mg Ag Pd
4 7 1
Direct
0.113 0.113 0.277 Mg
0.262 0.262 0.832 Mg
0.738 0.738 0.168 Mg
0.887 0.887 0.723 Mg
0.000 0.000 0.500 Ag
0.133 0.133 0.008 Ag
0.289 0.289 0.581 Ag
0.430 0.430 0.183 Ag
0.570 0.570 0.817 Ag
0.711 0.711 0.419 Ag
0.867 0.867 0.992 Ag
0.500 0.500 0.500 Pd
```

Main lines, sorted by position (2θ from 10° to 90°):
2θ (°), Rel. int.
19.91, 53
24.71, 100
35.12, 90
35.39, 99
39.62, 71
50.71, 60


# 5
Theoretical XRD peak list of Er6PdSe3S2 for Cu Ka, from a GGA-PBE-relaxed structure.
Neutral-atom scattering factors, no anomalous dispersion.

Cell and atoms:
```
Er6PdSe3S2
1.0
8.773 -1.959 0.000
8.773 1.959 0.000
-1.927 0.000 7.891
Er Pd Se S
6 1 3 2
Direct
0.004 0.004 0.240 Er
0.329 0.329 0.428 Er
0.335 0.335 0.903 Er
0.665 0.665 0.097 Er
0.671 0.671 0.572 Er
0.996 0.996 0.760 Er
0.500 0.500 0.000 Pd
0.168 0.168 0.831 Se
0.500 0.500 0.500 Se
0.832 0.832 0.169 Se
0.169 0.169 0.337 S
0.831 0.831 0.663 S
```

Main lines, sorted by position (2θ from 10° to 90°):
2θ (°), Rel. int.
27.65, 24
31.49, 51
31.73, 100
45.21, 36
45.41, 37
57.11, 19